Entry 1:
Calculated powder X-ray diffraction pattern of LiBe6As4 for Cu Ka, from a structure optimized by DFT (GGA-PBE).

Atomic structure:
```
data_LiBe6As4
_chemical_formula_sum 'Li4 Be24 As16'
_cell_length_a 4.7741
_cell_length_b 5.6198
_cell_length_c 24.5886
_cell_angle_alpha 90.00
_cell_angle_beta 90.00
_cell_angle_gamma 90.00
_symmetry_space_group_name_H-M 'F m m m'
_symmetry_Int_Tables_number 69
_symmetry_space_group_name_Hall '-F 2 2'
loop_
_atom_site_label
_atom_site_type_symbol
_atom_site_fract_x
_atom_site_fract_y
_atom_site_fract_z
_atom_site_occupancy
Li1 Li 0.0000 0.0000 0.0000 1
Be1 Be 0.2500 0.2500 0.1250 1
Be2 Be 0.2500 0.2500 0.2500 1
As1 As 0.0000 0.0000 0.1912 1
As2 As 0.0000 0.0000 0.4271 1
```

The 8 most intense peaks (2θ from 10° to 80°), most intense first:
d_spacing  I/Imax  (hkl)
2.925  100  1 1 5
3.326  57  1 1 3
2.074  28  0 2 8
2.810  26  0 2 0
3.074  25  0 0 8
1.678  25  1 1 13
1.819  23  2 2 0
1.885  21  2 0 8

Entry 2:
Calculated powder X-ray diffraction pattern of Li2BeMoAs for Cu Ka, from a structure optimized by DFT (GGA-PBE).

Atomic structure:
```
data_Li2BeMoAs
_chemical_formula_sum 'Li2 Be1 Mo1 As1'
_cell_length_a 4.3226
_cell_length_b 4.3226
_cell_length_c 4.7835
_cell_angle_alpha 90.00
_cell_angle_beta 90.00
_cell_angle_gamma 90.00
_symmetry_space_group_name_H-M 'P 4/m m m'
_symmetry_Int_Tables_number 123
_symmetry_space_group_name_Hall '-P 4 2'
loop_
_atom_site_label
_atom_site_type_symbol
_atom_site_fract_x
_atom_site_fract_y
_atom_site_fract_z
_atom_site_occupancy
Li1 Li 0.0000 0.5000 0.0000 1
Be1 Be 0.0000 0.0000 0.5000 1
Mo1 Mo 0.5000 0.5000 0.5000 1
As1 As 0.5000 0.5000 0.0000 1
```

The 8 most intense peaks (2θ from 10° to 80°), most intense first:
d_spacing  I/Imax  (hkl)
4.323  100  1 0 0
3.057  43  1 1 0
2.093  28  1 0 2
1.933  22  2 1 0
1.884  21  1 1 2
2.161  20  2 0 0
1.503  19  2 1 2
1.604  15  2 0 2

Entry 3:
Calculated powder X-ray diffraction pattern of Na2LiBe3As4 for Cu Ka, from a structure optimized by DFT (GGA-PBE).

Atomic structure:
```
data_Na2LiBe3As4
_chemical_formula_sum 'Na2 Li1 Be3 As4'
_cell_length_a 4.1315
_cell_length_b 4.1315
_cell_length_c 9.7599
_cell_angle_alpha 90.00
_cell_angle_beta 90.00
_cell_angle_gamma 90.00
_symmetry_space_group_name_H-M 'P -4 m 2'
_symmetry_Int_Tables_number 115
_symmetry_space_group_name_Hall 'P -4 -2'
loop_
_atom_site_label
_atom_site_type_symbol
_atom_site_fract_x
_atom_site_fract_y
_atom_site_fract_z
_atom_site_occupancy
Na1 Na 0.0000 0.5000 0.2392 1
Li1 Li 0.5000 0.5000 0.0000 1
Be1 Be 0.0000 0.0000 0.0000 1
Be2 Be 0.0000 0.5000 0.6329 1
As1 As 0.0000 0.0000 0.5000 1
As2 As 0.0000 0.5000 0.8616 1
As3 As 0.5000 0.5000 0.5000 1
```

The 8 most intense peaks (2θ from 10° to 80°), most intense first:
d_spacing  I/Imax  (hkl)
2.799  100  1 1 1
2.507  76  1 1 2
2.066  53  2 0 0
3.253  50  0 0 3
3.153  43  1 0 2
1.873  41  1 1 4
1.744  33  2 0 3
3.805  25  1 0 1

Entry 4:
Calculated powder X-ray diffraction pattern of Li2BeAsO4 for Cu Ka, from a structure optimized by DFT (GGA-PBE).

Atomic structure:
```
data_Li2BeAsO4
_chemical_formula_sum 'Li4 Be2 As2 O8'
_cell_length_a 4.5092
_cell_length_b 4.5092
_cell_length_c 8.0784
_cell_angle_alpha 90.00
_cell_angle_beta 90.00
_cell_angle_gamma 90.00
_symmetry_space_group_name_H-M 'I -4'
_symmetry_Int_Tables_number 82
_symmetry_space_group_name_Hall 'I -4'
loop_
_atom_site_label
_atom_site_type_symbol
_atom_site_fract_x
_atom_site_fract_y
_atom_site_fract_z
_atom_site_occupancy
Li1 Li 0.0000 0.0000 0.0000 1
Li2 Li 0.0000 0.5000 0.2500 1
Be1 Be 0.0000 0.5000 0.7500 1
As1 As 0.0000 0.0000 0.5000 1
O1 O 0.2068 0.2714 0.6344 1
```

The 8 most intense peaks (2θ from 10° to 80°), most intense first:
d_spacing  I/Imax  (hkl)
3.937  100  1 0 1
2.503  66  1 1 2
1.957  25  1 2 1
3.189  23  1 1 0
1.504  20  2 0 4
2.312  19  1 0 3
4.039  17  0 0 2
1.614  16  2 1 3

Entry 5:
Calculated powder X-ray diffraction pattern of Rb2MgBeAs2 for Cu Ka, from a structure optimized by DFT (GGA-PBE).

Atomic structure:
```
data_Rb2MgBeAs2
_chemical_formula_sum 'Rb8 Mg4 Be4 As8'
_cell_length_a 6.2110
_cell_length_b 16.7516
_cell_length_c 6.2205
_cell_angle_alpha 90.00
_cell_angle_beta 90.00
_cell_angle_gamma 90.00
_symmetry_space_group_name_H-M 'I b a m'
_symmetry_Int_Tables_number 72
_symmetry_space_group_name_Hall '-I 2 2c'
loop_
_atom_site_label
_atom_site_type_symbol
_atom_site_fract_x
_atom_site_fract_y
_atom_site_fract_z
_atom_site_occupancy
Rb1 Rb 0.2454 0.1703 0.0000 1
Mg1 Mg 0.0000 0.0000 0.2500 1
Be1 Be 0.0000 0.5000 0.2500 1
As1 As 0.2172 0.4202 0.0000 1
```

The 8 most intense peaks (2θ from 10° to 80°), most intense first:
d_spacing  I/Imax  (hkl)
3.032  100  1 4 1
3.108  51  0 0 2
2.198  28  2 0 2
1.780  21  1 4 3
2.496  19  0 4 2
1.890  18  1 8 1
1.778  17  3 4 1
1.433  13  1 8 3